This entry pairs a crystal structure of PtOF2 with its simulated powder diffraction line list. Radiation: Cu Kα, 1.54184 Å. Structure: a crystal structure in OQMD, relaxed with PBE.
Lines closer than 0.1° are merged.

Largest 6 diffraction maxima, in order of rising 2θ, 10 to 90 degrees two-theta:
two_theta	I (rel.)	h k l
18.84	74.6	2 2 0
24.67	100.0	3 2 0
26.01	72.7	1 4 0
32.98	51.7	2 1 1
35.45	43.8	1 3 1
43.87	46.9	1 5 1

Structural model:
```
data_PtOF2
_space_group_name_H-M_alt 'P b a m'
_space_group_IT_number 55
_space_group_name_Hall '-P 2 2ab'
_cell_length_a 12.560
_cell_length_b 14.240
_cell_length_c 3.083
_cell_angle_alpha 90.00
_cell_angle_beta 90.00
_cell_angle_gamma 90.00
loop_
_atom_site_label
_atom_site_type_symbol
_atom_site_fract_x
_atom_site_fract_y
_atom_site_fract_z
Pt1 Pt 0.071 0.192 0.000
Pt2 Pt 0.097 0.683 0.500
Pt3 Pt 0.248 0.427 0.000
O1 O 0.072 0.282 0.500
O2 O 0.087 0.773 0.000
O3 O 0.246 0.842 0.500
F1 F 0.062 0.100 0.500
F2 F 0.094 0.417 0.000
F3 F 0.097 0.591 0.000
F4 F 0.101 0.953 0.000
F5 F 0.227 0.172 0.000
F6 F 0.240 0.520 0.500
```